# AlTlI3
Computed X-ray powder pattern, CuKα. Input: a GGA-PBE-relaxed structure.
Neutral-atom scattering factors, no anomalous dispersion.

Structure:
Lattice parameters (Å, degrees): 7.127 8.812 9.614 114.39 108.28 96.79
Fractional coordinates of all 10 atoms:
1 Al 0.045 0.365 0.000
2 Al 0.955 0.635 0.000
3 Tl 0.325 0.825 0.650
4 Tl 0.675 0.175 0.350
5 I 0.097 0.180 0.730
6 I 0.253 0.847 0.000
7 I 0.365 0.449 0.271
8 I 0.635 0.551 0.729
9 I 0.747 0.153 0.000
10 I 0.903 0.820 0.270

The 6 most intense peaks (15 to 90 degrees two-theta), sorted by position:
hkl	2θ (°)	I/Imax
1 1 -1	17.02	100
1 1 -2	20.33	52
1 -2 0	23.27	91
1 1 -3	28.14	57
-2 1 2	31.01	55
0 3 -3	35.04	62